# BC3
Simulated powder X-ray diffraction pattern, Cu Kα. Input: a GGA-PBE-relaxed structure.

Peak list (10 most intense, 10 to 90 degrees two-theta, sorted by position)
| 2θ (°) | I_rel | hkl |
| --- | --- | --- |
| 42.2 | 46.5 | 0 0 3 |
| 42.6 | 51.6 | 2 0 1 |
| 42.9 | 100.0 | 1 1 -1 |
| 72.3 | 25.6 | 1 1 -4 |
| 72.8 | 38.7 | 3 1 0 |
| 74.1 | 12.6 | 0 2 0 |
| 87.3 | 11.6 | 4 0 -1 |
| 88.1 | 9.0 | 1 1 5 |
| 89.2 | 7.2 | 0 2 3 |
| 89.4 | 8.3 | 2 2 1 |

Cell and atoms:
a b c (Å): 4.523 2.559 6.422
angles (deg): 90.00 90.87 90.00
Positions (direct):
1 B 0.000 0.000 0.000
2 B 0.161 0.500 0.418
3 B 0.660 0.000 0.426
4 C 0.163 0.500 0.675
5 C 0.326 0.000 0.316
6 C 0.340 0.000 0.085
7 C 0.495 0.500 0.002
8 C 0.497 0.500 0.758
9 C 0.660 0.000 0.679
10 C 0.812 0.500 0.093
11 C 0.824 0.500 0.320
12 C 0.998 0.000 0.743